# 1
For Ba2AgSn2As4, the PBE geometry in Alexandria gives the calculated XRD peak list in this record (a wavelength of 1.5418 Å).
Peak positions follow from Bragg's law for the DFT cell and can differ from measured ones.

Top 12 peaks for 2θ = 10–90°, sorted by position:
two_theta  I/Imax  hkl
22.2  104  1 1 0
27.2  333  0 2 0
32.2  1000  1 1 4
33.1  184  1 2 1
34.8  105  0 0 6
35.5  351  2 0 0
35.9  174  0 2 4
44.0  163  1 2 5
45.3  166  2 2 0
51.3  168  1 3 4
51.4  127  2 2 4
61.7  154  3 1 4

Structural model:
```
data_Ba2AgSn2As4
_chemical_formula_sum 'Ba4 Ag2 Sn4 As8'
_space_group_name_H-M_alt 'I m m m'
_space_group_IT_number 71
_space_group_name_Hall '-I 2 2'
_cell_length_a 5.055
_cell_length_b 6.565
_cell_length_c 15.460
_cell_angle_alpha 90.00
_cell_angle_beta 90.00
_cell_angle_gamma 90.00
loop_
_atom_site_label
_atom_site_fract_x
_atom_site_fract_y
_atom_site_fract_z
Ba1 0.000 0.000 0.137
Ag1 0.000 0.500 0.000
Sn1 0.000 0.000 0.368
As1 0.000 0.290 0.500
As2 0.000 0.500 0.199
```

---

# 2
For NaPmBN2, the PBE geometry in Alexandria gives the calculated XRD peak list in this record (a wavelength of 1.5418 Å).
Peak positions follow from Bragg's law for the DFT cell and can differ from measured ones.

Top 12 peaks for 2θ = 10–90°, sorted by position:
two_theta  I/Imax  hkl
15.5  782  0 0 1
21.2  925  0 1 0
24.9  445  1 0 0
26.4  1000  0 1 1
26.9  287  1 0 -1
31.2  318  0 0 2
31.7  288  1 0 1
34.6  592  1 1 -1
36.5  315  1 0 -2
38.5  588  1 1 1
43.3  224  0 2 0
55.5  236  2 1 -1

Structural model:
```
data_NaPmBN2
_chemical_formula_sum 'Na1 Pm1 B1 N2'
_space_group_name_H-M_alt 'P 1 2/m 1'
_space_group_IT_number 10
_cell_length_a 3.637
_cell_length_b 4.182
_cell_length_c 5.825
_cell_angle_alpha 90.00
_cell_angle_beta 100.18
_cell_angle_gamma 90.00
loop_
_space_group_symop_operation_xyz
'x,y,z'
'-x,-y,-z'
'-x,y,-z'
'x,-y,z'
loop_
_atom_site_label
_atom_site_fract_x
_atom_site_fract_y
_atom_site_fract_z
Na1 0.000 0.000 0.000
Pm1 0.000 0.500 0.500
B1 0.500 0.500 0.000
N1 0.412 0.500 0.215
```

---

# 3
For Rb5ErO4, the PBE geometry in Alexandria gives the calculated XRD peak list in this record (a wavelength of 1.5418 Å).
Peak positions follow from Bragg's law for the DFT cell and can differ from measured ones.

Top 12 peaks for 2θ = 10–90°, sorted by position:
two_theta  I/Imax  hkl
14.2  138  1 1 0
16.5  154  0 1 1
26.7  1000  0 0 2
28.7  436  2 2 0
32.3  537  0 3 1
39.7  411  2 2 2
42.5  153  4 0 0
47.3  88  2 1 3
50.9  197  4 0 2
54.4  218  4 3 1
56.6  198  2 5 1
68.4  115  4 3 3

Structural model:
```
data_Rb5ErO4
_chemical_formula_sum 'Rb10 Er2 O8'
_space_group_name_H-M_alt 'P m m n'
_space_group_IT_number 59
_cell_length_a 8.510
_cell_length_b 9.131
_cell_length_c 6.654
_cell_angle_alpha 90.00
_cell_angle_beta 90.00
_cell_angle_gamma 90.00
loop_
_space_group_symop_operation_xyz
'x,y,z'
'-x,-y,-z'
'-x+1/2,-y+1/2,z'
'x+1/2,y+1/2,-z'
'x+1/2,-y,-z'
'-x+1/2,y,z'
'-x,y+1/2,-z'
'x,-y+1/2,z'
loop_
_atom_site_label
_atom_site_fract_x
_atom_site_fract_y
_atom_site_fract_z
Rb1 0.013 0.061 0.241
Rb2 0.250 0.750 0.328
Er1 0.250 0.250 0.713
O1 0.035 0.250 0.885
O2 0.250 0.050 0.539
```